[1]
Structure and calculated PXRD pattern of DyTm2Sn3Pt3 (a GGA-PBE-relaxed structure; CuKα).

```
data_DyTm2Sn3Pt3
_chemical_formula_sum 'Dy2 Tm4 Sn6 Pt6'
_cell_length_a 3.998
_cell_length_b 12.975
_cell_length_c 7.467
_cell_angle_alpha 90.00
_cell_angle_beta 90.00
_cell_angle_gamma 90.00
_symmetry_space_group_name_H-M 'A m m 2'
_symmetry_Int_Tables_number 38
loop_
_symmetry_equiv_pos_as_xyz
'x,y,z'
'-x,-y,z'
'-x,y,z'
'x,-y,z'
'x,y+1/2,z+1/2'
'-x,-y+1/2,z+1/2'
'-x,y+1/2,z+1/2'
'x,-y+1/2,z+1/2'
loop_
_atom_site_label
_atom_site_type_symbol
_atom_site_fract_x
_atom_site_fract_y
_atom_site_fract_z
Dy1 Dy 0.000 0.000 0.000
Tm1 Tm 0.000 0.203 0.392
Sn1 Sn 0.500 0.000 0.334
Sn2 Sn 0.500 0.130 0.724
Pt1 Pt 0.000 0.000 0.592
Pt2 Pt 0.500 0.168 0.095
```

Principal peaks in the range 5 to 70 degrees two-theta, by angle:
- 23.8 deg, I = 13
- 32.8 deg, I = 85
- 35.7 deg, I = 100
- 36.7 deg, I = 23
- 41.8 deg, I = 16
- 41.9 deg, I = 33
- 43.3 deg, I = 38
- 45.4 deg, I = 28
- 59.7 deg, I = 16
- 63.4 deg, I = 29
- 67.2 deg, I = 24
- 67.3 deg, I = 12

---

[2]
Structure and calculated PXRD pattern of Ga40Mo8C (a GGA-PBE-relaxed structure; CuKα).

```
data_Ga40Mo8C
_chemical_formula_sum 'Ga120 Mo24 C3'
_cell_length_a 14.0224
_cell_length_b 14.0224
_cell_length_c 15.3096
_cell_angle_alpha 90.00
_cell_angle_beta 90.00
_cell_angle_gamma 120.00
_symmetry_space_group_name_H-M 'R -3'
_symmetry_Int_Tables_number 148
_symmetry_space_group_name_Hall '-R 3'
loop_
_atom_site_label
_atom_site_type_symbol
_atom_site_fract_x
_atom_site_fract_y
_atom_site_fract_z
Ga1 Ga 0.0000 0.0000 0.0000
Ga2 Ga 0.0002 0.1836 0.2844
Ga3 Ga 0.0000 0.5000 0.5000
Ga4 Ga 0.0100 0.6931 0.2674
Ga5 Ga 0.0112 0.8815 0.1609
Ga6 Ga 0.0145 0.1430 0.5928
Ga7 Ga 0.0187 0.5346 0.1613
Ga8 Ga 0.0946 0.5358 0.6684
Mo1 Mo 0.0000 0.0000 0.2889
Mo2 Mo 0.0184 0.7053 0.0964
C1 C 0.0000 0.0000 0.5000
```

Principal peaks in the range 5 to 70 degrees two-theta, by angle:
- 21.5 deg, I = 38
- 22.0 deg, I = 31
- 30.9 deg, I = 42
- 35.5 deg, I = 34
- 38.3 deg, I = 56
- 38.9 deg, I = 29
- 39.7 deg, I = 74
- 40.0 deg, I = 67
- 41.9 deg, I = 100
- 42.5 deg, I = 34
- 43.9 deg, I = 80
- 44.8 deg, I = 67

---

[3]
Structure and calculated PXRD pattern of Tm2ZnCo2 (a GGA-PBE-relaxed structure; CuKα).

```
data_Tm2ZnCo2
_chemical_formula_sum 'Tm4 Zn2 Co4'
_cell_length_a 3.767
_cell_length_b 12.626
_cell_length_c 3.808
_cell_angle_alpha 90.00
_cell_angle_beta 90.00
_cell_angle_gamma 90.00
_symmetry_space_group_name_H-M 'P b a m'
_symmetry_Int_Tables_number 55
loop_
_symmetry_equiv_pos_as_xyz
'x,y,z'
'-x,-y,-z'
'-x,-y,z'
'x,y,-z'
'x+1/2,-y+1/2,-z'
'-x+1/2,y+1/2,z'
'-x+1/2,y+1/2,-z'
'x+1/2,-y+1/2,z'
loop_
_atom_site_label
_atom_site_type_symbol
_atom_site_fract_x
_atom_site_fract_y
_atom_site_fract_z
Tm1 Tm 0.001 0.135 0.000
Zn1 Zn 0.000 0.500 0.500
Co1 Co 0.004 0.300 0.500
```

Principal peaks in the range 5 to 70 degrees two-theta, by angle:
- 24.7 deg, I = 13
- 28.3 deg, I = 17
- 31.9 deg, I = 33
- 34.2 deg, I = 100
- 37.0 deg, I = 69
- 39.9 deg, I = 56
- 43.1 deg, I = 29
- 47.8 deg, I = 25
- 48.3 deg, I = 24
- 62.0 deg, I = 14
- 62.4 deg, I = 30
- 66.3 deg, I = 15